Record 1
Structure and simulated powder XRD pattern of Rb2CoSnCl6 (the PBE geometry in Alexandria; Cu Kα).
Lines closer than 0.1° are merged.

Most intense lines, 2θ = 10–90°, sorted by position:
(1 1 0), 24.05°, I = 100
(2 0 2), 29.57°, I = 21
(0 2 4), 34.28°, I = 79
(3 0 0), 42.29°, I = 34
(2 2 0), 49.20°, I = 26
(2 0 8), 49.32°, I = 26
(1 2 8), 55.54°, I = 22
(3 2 4), 66.87°, I = 19

Structural model:
Unit cell a=7.4076 b=7.4076 c=18.0845 alpha=90.00 beta=90.00 gamma=120.00
Space group R-3m (No. 166, hexagonal axes)
Inequivalent atoms, fractional coordinates:
Rb 0.0000 0.0000 0.2501 [6 per cell]
Co 0.0000 0.0000 0.0000 [3 per cell]
Sn 0.0000 0.0000 0.5000 [3 per cell]
Cl 0.0203 0.5102 0.7446 [18 per cell]



Record 2
Structure and simulated powder XRD pattern of RbTbCoCl6 (the PBE geometry in Alexandria; Cu Kα).
Lines closer than 0.1° are merged.

Most intense lines, 2θ = 10–90°, sorted by position:
(0 0 1), 11.99°, I = 44
(0 2 1), 19.46°, I = 100
(2 0 0), 26.61°, I = 20
(2 0 -1), 29.28°, I = 28
(0 4 1), 33.18°, I = 21
(1 3 2), 36.21°, I = 62
(3 1 -1), 43.01°, I = 24
(3 3 0), 47.02°, I = 14

Structural model:
Unit cell a=6.6904 b=11.6222 c=7.3793 alpha=90.00 beta=90.19 gamma=90.00
Space group C2 (No. 5)
Inequivalent atoms, fractional coordinates:
Rb 0.0000 0.0000 0.0000 [2 per cell]
Tb 0.0000 0.6663 0.5000 [2 per cell]
Co 0.0000 0.3331 0.5000 [2 per cell]
Cl 0.1207 0.4893 0.7013 [4 per cell]
Cl 0.1697 0.1923 0.6976 [4 per cell]
Cl 0.2027 0.8193 0.6976 [4 per cell]



Record 3
Structure and simulated powder XRD pattern of RbTlCo2Cl8 (the PBE geometry in Alexandria; Cu Kα).
Lines closer than 0.1° are merged.

Most intense lines, 2θ = 10–90°, sorted by position:
(1 0 4), 19.67°, I = 100
(1 1 0), 25.41°, I = 62
(2 -1 3), 27.30°, I = 49
(0 1 8), 30.31°, I = 49
(1 1 6), 32.36°, I = 68
(3 -1 4), 41.56°, I = 29
(3 0 0), 44.78°, I = 24
(1 2 8), 47.94°, I = 24

Structural model:
Unit cell a=7.0113 b=7.0113 c=26.9920 alpha=90.00 beta=90.00 gamma=120.00
Space group R-3 (No. 148, hexagonal axes)
Inequivalent atoms, fractional coordinates:
Rb 0.0000 0.0000 0.0000 [3 per cell]
Tl 0.0000 0.0000 0.5000 [3 per cell]
Co 0.0000 0.0000 0.2377 [6 per cell]
Cl 0.0000 0.0000 0.1576 [6 per cell]
Cl 0.0059 0.4252 0.9313 [18 per cell]